This entry pairs a crystal structure of Ac2V3O8 with its computed X-ray powder pattern. Radiation: a wavelength of 1.5418 Å. Structure: a crystal structure in Alexandria, relaxed with GGA+U.
No peak broadening, texture or thermal motion is included.

a = 3.9324 Å, b = 3.9324 Å, c = 12.7646 Å
α = 90.00°, β = 90.00°, γ = 90.00°
Space group P4/mmm (No. 123)
Inequivalent atoms, fractional coordinates:
Ac 0.0000 0.0000 0.1699
V 0.5000 0.5000 0.0000
V 0.5000 0.5000 0.3167
O 0.0000 0.5000 0.0000
O 0.0000 0.5000 0.3115
O 0.5000 0.5000 0.1602

Peak list (12 most intense, 10 to 80 degrees two-theta, by angle)
hkl 0 0 2, 2θ = 13.88°, d 6.382, I 44; hkl 1 0 0, 2θ = 22.61°, d 3.932, I 21; hkl 1 0 1, 2θ = 23.67°, d 3.758, I 21; hkl 1 0 2, 2θ = 26.63°, d 3.348, I 20; hkl 1 0 3, 2θ = 30.97°, d 2.888, I 100; hkl 1 1 0, 2θ = 32.19°, d 2.781, I 41; hkl 1 1 2, 2θ = 35.20°, d 2.550, I 17; hkl 1 1 3, 2θ = 38.68°, d 2.328, I 32; hkl 2 0 0, 2θ = 46.17°, d 1.966, I 28; hkl 1 1 6, 2θ = 54.29°, d 1.690, I 19; hkl 2 1 3, 2θ = 56.63°, d 1.625, I 37; hkl 2 0 6, 2θ = 64.54°, d 1.444, I 17